Simulated PXRD pattern of LaHgP2 for CuKα, from a PBE-relaxed structure.
Neutral-atom scattering factors, no anomalous dispersion.

```
LaHgP2
1.0
7.377 0.000 0.000
0.000 7.377 0.000
0.000 0.000 7.028
La Hg P
4 4 8
Direct
0.000 0.000 0.000
0.000 0.500 0.250
0.500 0.000 0.750
0.500 0.500 0.500
0.000 0.000 0.500
0.000 0.500 0.750
0.500 0.000 0.250
0.500 0.500 0.000
0.208 0.250 0.625
0.250 0.708 0.875
0.250 0.792 0.375
0.292 0.250 0.125
0.708 0.750 0.125
0.750 0.208 0.375
0.750 0.292 0.875
0.792 0.750 0.625
```

Peak list (8 most intense, 15° ≤ 2θ ≤ 90°, in order of falling intensity)
2θ/deg  Rel. int.  hkl
30.68  100  1 1 2
46.74  63  3 1 2
24.13  59  2 0 0
34.38  48  2 2 0
58.15  22  2 0 4
70.37  18  5 1 2
49.42  17  4 0 0
79.74  16  4 2 4